(1)
Diffraction record for Mg2Sc3WS8. The PXRD pattern is theoretical, not measured: it uses a PBE-relaxed structure and Cu Kα (weighted mean of Kα1 and Kα2).
Lines closer than 0.1° are merged.

Top 10 peaks for 2θ = 15–90°, by intensity:
d/Å  2θ (°)  intensity  index
2.654  33.77  100  0 2 4
3.204  27.85  77  1 1 3
1.887  48.23  48  2 2 0
1.866  48.79  47  2 0 8
3.179  28.07  40  0 1 5
5.308  16.70  36  0 1 2
2.044  44.32  34  1 2 5
3.774  23.57  33  1 1 0
2.051  44.17  23  0 3 3
1.538  60.17  16  4 0 4

Crystal structure
Lattice parameters (Å, degrees): 7.5481 7.5481 18.1888 90.00 90.00 120.00
Space group R-3m (No. 166, hexagonal axes)
Unique sites:
Mg (0.0000, 0.0000, 0.1253)
Sc (0.0000, 0.5000, 0.0000)
W (0.0000, 0.0000, 0.5000)
S (0.0000, 0.0000, 0.2583)
S (0.0250, 0.5125, 0.2495)

=====

(2)
Diffraction record for Na2Ti9O19. The PXRD pattern is theoretical, not measured: it uses a PBE-relaxed structure and Cu Kα (weighted mean of Kα1 and Kα2).
Lines closer than 0.1° are merged.

Top 10 peaks for 2θ = 15–90°, by intensity:
d/Å  2θ (°)  intensity  index
3.620  24.59  100  1 1 0
3.082  28.97  42  0 0 5
1.896  47.98  37  0 2 0
2.089  43.31  32  6 0 -2
1.619  56.87  23  7 1 -2
4.288  20.72  22  2 0 2
2.201  41.00  22  0 0 7
1.404  66.61  15  6 2 -2
2.616  34.28  15  4 0 2
2.734  32.76  14  4 0 -4

Crystal structure
Lattice parameters (Å, degrees): 12.537 3.792 15.894 90.00 104.19 90.00
Space group Cm (No. 8)
Unique sites:
Na (0.000, 0.000, 0.000)
Na (0.211, 0.500, 0.499)
Ti (0.011, 0.500, 0.379)
Ti (0.106, 0.500, 0.631)
Ti (0.125, 0.500, 0.198)
Ti (0.215, 0.500, 0.999)
Ti (0.295, 0.500, 0.798)
Ti (0.317, 0.500, 0.367)
Ti (0.411, 0.500, 0.618)
Ti (0.425, 0.500, 0.201)
Ti (0.495, 0.000, 0.797)
O (0.049, 0.500, 0.495)
O (0.059, 0.500, 0.909)
O (0.073, 0.000, 0.624)
O (0.085, 0.000, 0.204)
O (0.116, 0.500, 0.086)
O (0.138, 0.500, 0.757)
O (0.166, 0.500, 0.359)
O (0.203, 0.000, 0.998)
O (0.257, 0.500, 0.639)
O (0.283, 0.500, 0.240)
O (0.302, 0.500, 0.910)
O (0.334, 0.000, 0.791)
O (0.350, 0.000, 0.373)
O (0.359, 0.500, 0.089)
O (0.374, 0.500, 0.502)
O (0.442, 0.000, 0.645)
O (0.456, 0.500, 0.769)
O (0.465, 0.000, 0.229)
O (0.480, 0.500, 0.352)

=====

(3)
Diffraction record for ZnP2H3C4NO8. The PXRD pattern is theoretical, not measured: it uses a PBE-relaxed structure and Cu Kα (weighted mean of Kα1 and Kα2).
Lines closer than 0.1° are merged.

Top 10 peaks for 2θ = 15–90°, by intensity:
d/Å  2θ (°)  intensity  index
3.413  26.11  100  1 3 3
4.241  20.95  73  2 2 0
4.146  21.43  51  2 0 2
4.492  19.76  40  1 3 1
5.448  16.27  35  0 2 2
2.724  32.88  27  0 4 4
2.882  31.03  26  2 4 2
2.991  29.88  22  1 5 1
2.777  32.23  21  3 3 1
2.794  32.04  19  2 2 4

Crystal structure
Lattice parameters (Å, degrees): 9.995 16.032 14.852 90.00 90.00 90.00
Space group Fdd2 (No. 43)
Unique sites:
Zn (0.000, 0.000, 0.000)
P (0.032, 0.372, 0.340)
H (0.000, 0.000, 0.760)
H (0.096, 0.411, 0.161)
C (0.069, 0.012, 0.296)
C (0.086, 0.061, 0.379)
N (0.000, 0.000, 0.403)
O (0.046, 0.431, 0.257)
O (0.084, 0.413, 0.427)
O (0.107, 0.290, 0.325)
O (0.123, 0.146, 0.847)

=====

(4)
Diffraction record for Tm3Mn3Ga2Si. The PXRD pattern is theoretical, not measured: it uses a PBE-relaxed structure and Cu Kα (weighted mean of Kα1 and Kα2).
Lines closer than 0.1° are merged.

Top 10 peaks for 2θ = 15–90°, by intensity:
d/Å  2θ (°)  intensity  index
2.599  34.51  100  1 1 1
2.390  37.63  54  2 0 1
2.300  39.16  36  2 1 0
1.547  59.79  28  3 1 1
3.514  25.35  27  1 1 0
1.931  47.06  18  0 0 2
1.479  62.83  17  2 1 2
1.688  54.35  17  3 1 0
2.029  44.67  15  3 0 0
1.313  71.91  14  3 2 1

Crystal structure
Lattice parameters (Å, degrees): 7.0274 7.0274 3.8624 90.00 90.00 120.00
Space group P-62m (No. 189)
Unique sites:
Tm (0.0000, 0.5954, 0.0000)
Mn (0.0000, 0.2214, 0.5000)
Ga (0.3333, 0.6667, 0.5000)
Si (0.0000, 0.0000, 0.0000)

=====

(5)
Diffraction record for Hf2Al. The PXRD pattern is theoretical, not measured: it uses a PBE-relaxed structure and Cu Kα (weighted mean of Kα1 and Kα2).
Lines closer than 0.1° are merged.

Top 10 peaks for 2θ = 15–90°, by intensity:
d/Å  2θ (°)  intensity  index
2.643  33.91  100  2 1 1
2.167  41.67  19  3 1 0
1.514  61.24  19  2 1 3
2.611  34.35  17  0 0 2
1.237  77.14  14  5 2 1
4.847  18.31  13  1 1 0
1.374  68.27  11  3 3 2
1.668  55.07  10  3 1 2
2.299  39.19  10  1 1 2
1.433  65.11  10  4 0 2

Crystal structure
Lattice parameters (Å, degrees): 6.854 6.854 5.222 90.00 90.00 90.00
Space group I4/mcm (No. 140)
Unique sites:
Hf (0.151, 0.349, 0.000)
Al (0.000, 0.000, 0.250)

=====

(6)
Diffraction record for Na5Ca2Ce3Ti8Nb2O30. The PXRD pattern is theoretical, not measured: it uses a PBE-relaxed structure and Cu Kα (weighted mean of Kα1 and Kα2).
Lines closer than 0.1° are merged.

Top 10 peaks for 2θ = 15–90°, by intensity:
d/Å  2θ (°)  intensity  index
2.777  32.23  100  1 0 10
2.790  32.08  52  1 1 0
1.973  46.00  49  2 0 0
1.609  57.28  38  2 1 10
1.389  67.44  23  2 0 20
3.523  25.28  22  1 0 5
1.955  46.45  21  0 0 20
1.601  57.57  19  1 1 20
2.271  39.68  15  1 1 10
3.925  22.65  14  1 0 1

Crystal structure
Lattice parameters (Å, degrees): 3.946 3.946 39.099 90.00 90.03 90.00
Space group Pm (No. 6)
Unique sites:
Na (0.000, 0.000, 0.000)
Na (0.000, 0.000, 0.099)
Na (0.000, 0.000, 0.397)
Na (0.000, 0.000, 0.600)
Na (0.000, 0.000, 0.800)
Ca (0.000, 0.000, 0.207)
Ca (0.000, 0.000, 0.306)
Ce (0.000, 0.000, 0.500)
Ce (0.000, 0.000, 0.700)
Ce (0.000, 0.000, 0.900)
Ti (0.500, 0.500, 0.253)
Ti (0.500, 0.500, 0.351)
Ti (0.500, 0.500, 0.449)
Ti (0.500, 0.500, 0.551)
Ti (0.500, 0.500, 0.649)
Ti (0.500, 0.500, 0.751)
Ti (0.500, 0.500, 0.849)
Ti (0.500, 0.500, 0.950)
Nb (0.500, 0.500, 0.049)
Nb (0.500, 0.500, 0.151)
O (0.000, 0.500, 0.050)
O (0.000, 0.500, 0.153)
O (0.000, 0.500, 0.249)
O (0.000, 0.500, 0.347)
O (0.000, 0.500, 0.456)
O (0.000, 0.500, 0.546)
O (0.000, 0.500, 0.656)
O (0.000, 0.500, 0.745)
O (0.000, 0.500, 0.856)
O (0.000, 0.500, 0.944)
O (0.500, 0.000, 0.050)
O (0.500, 0.000, 0.153)
O (0.500, 0.000, 0.249)
O (0.500, 0.000, 0.347)
O (0.500, 0.000, 0.456)
O (0.500, 0.000, 0.546)
O (0.500, 0.000, 0.656)
O (0.500, 0.000, 0.745)
O (0.500, 0.000, 0.856)
O (0.500, 0.000, 0.944)
O (0.500, 0.500, 0.100)
O (0.500, 0.500, 0.202)
O (0.500, 0.500, 0.300)
O (0.500, 0.500, 0.401)
O (0.500, 0.500, 0.501)
O (0.500, 0.500, 0.601)
O (0.500, 0.500, 0.700)
O (0.500, 0.500, 0.800)
O (0.500, 0.500, 0.900)
O (0.500, 0.500, 0.998)

=====

(7)
Diffraction record for BaH2O2. The PXRD pattern is theoretical, not measured: it uses a PBE-relaxed structure and Cu Kα (weighted mean of Kα1 and Kα2).
Lines closer than 0.1° are merged.

Top 10 peaks for 2θ = 15–90°, by intensity:
d/Å  2θ (°)  intensity  index
3.403  26.19  100  1 -1 2
3.572  24.93  87  2 0 0
3.306  26.97  61  1 1 2
3.643  24.43  46  -1 1 2
2.312  38.96  46  0 0 4
3.530  25.23  45  1 -2 0
3.958  22.46  43  0 2 0
1.990  45.58  39  3 0 -3
3.619  24.60  39  1 1 -2
2.948  30.32  38  1 0 -3

Crystal structure
Lattice parameters (Å, degrees): 7.192 7.924 9.303 90.87 96.09 92.49
Space group P1 (No. 1)
Unique sites:
Ba (0.000, 0.000, 0.000)
Ba (0.007, 0.409, 0.282)
Ba (0.053, 0.469, 0.700)
Ba (0.074, 0.912, 0.434)
Ba (0.463, 0.836, 0.786)
Ba (0.520, 0.230, 0.508)
Ba (0.534, 0.740, 0.223)
Ba (0.587, 0.346, 0.936)
H (0.101, 0.400, 0.989)
H (0.196, 0.111, 0.724)
H (0.227, 0.626, 0.006)
H (0.317, 0.120, 0.193)
H (0.350, 0.093, 0.936)
H (0.409, 0.764, 0.494)
H (0.429, 0.546, 0.570)
H (0.473, 0.337, 0.223)
H (0.687, 0.098, 0.202)
H (0.707, 0.595, 0.768)
H (0.759, 0.623, 0.497)
H (0.813, 0.104, 0.697)
H (0.849, 0.154, 0.419)
H (0.855, 0.628, 0.984)
H (0.945, 0.859, 0.717)
H (0.982, 0.722, 0.163)
O (0.079, 0.839, 0.731)
O (0.119, 0.730, 0.182)
O (0.258, 0.169, 0.275)
O (0.302, 0.192, 0.746)
O (0.307, 0.568, 0.943)
O (0.308, 0.544, 0.508)
O (0.397, 0.028, 0.021)
O (0.448, 0.886, 0.489)
O (0.597, 0.396, 0.227)
O (0.662, 0.518, 0.686)
O (0.737, 0.075, 0.775)
O (0.746, 0.699, 0.976)
O (0.793, 0.032, 0.239)
O (0.841, 0.650, 0.422)
O (0.903, 0.212, 0.510)
O (0.972, 0.352, 0.986)

=====

(8)
Diffraction record for In7Ni3. The PXRD pattern is theoretical, not measured: it uses a PBE-relaxed structure and Cu Kα (weighted mean of Kα1 and Kα2).
Lines closer than 0.1° are merged.

Top 10 peaks for 2θ = 15–90°, by intensity:
d/Å  2θ (°)  intensity  index
2.193  41.16  100  3 3 0
2.942  30.38  71  3 1 0
2.487  36.12  60  3 2 1
2.686  33.36  45  2 2 2
1.266  75.02  35  6 3 3
1.596  57.78  19  4 3 3
1.551  59.62  19  6 0 0
1.509  61.43  19  5 3 2
2.080  43.50  19  4 2 0
1.645  55.90  18  4 4 0

Crystal structure
Lattice parameters (Å, degrees): 9.304 9.304 9.304 90.00 90.00 90.00
Space group Im-3m (No. 229)
Unique sites:
In (0.000, 0.250, 0.500)
In (0.161, 0.161, 0.161)
Ni (0.000, 0.000, 0.356)

=====

Copy entry 5 word for word.
Diffraction record for Hf2Al. The PXRD pattern is theoretical, not measured: it uses a PBE-relaxed structure and Cu Kα (weighted mean of Kα1 and Kα2).
Lines closer than 0.1° are merged.

Top 10 peaks for 2θ = 15–90°, by intensity:
d/Å  2θ (°)  intensity  index
2.643  33.91  100  2 1 1
2.167  41.67  19  3 1 0
1.514  61.24  19  2 1 3
2.611  34.35  17  0 0 2
1.237  77.14  14  5 2 1
4.847  18.31  13  1 1 0
1.374  68.27  11  3 3 2
1.668  55.07  10  3 1 2
2.299  39.19  10  1 1 2
1.433  65.11  10  4 0 2

Crystal structure
Lattice parameters (Å, degrees): 6.854 6.854 5.222 90.00 90.00 90.00
Space group I4/mcm (No. 140)
Unique sites:
Hf (0.151, 0.349, 0.000)
Al (0.000, 0.000, 0.250)